The following is a theoretical powder X-ray diffraction pattern of CaSb2. It was derived from DFT lattice parameters and positions (PBE), using Cu Kα (λ = 1.5418 Å).
Kinematic intensities with the Lorentz-polarization factor, no thermal factor.

Largest 10 diffraction maxima, by intensity, 10° ≤ 2θ ≤ 80°:
two_theta	Rel. int.	index
32.21	100	1 1 1
31.24	20	0 0 3
19.64	18	1 0 -1
38.42	16	2 0 -1
29.30	14	0 1 2
41.76	14	0 2 0
65.59	10	3 1 0
70.24	10	1 3 1
58.03	9	2 2 -1
50.31	9	2 0 2

Atomic structure:
a b c (Å): 4.6865 4.3263 8.9016
angles (deg): 90.00 105.20 90.00
Space group P2_1/m (No. 11)
Inequivalent atoms, fractional coordinates:
Ca  0.1225  0.2500  0.2056
Sb  0.2287  0.7500  0.5170
Sb  0.4191  0.2500  0.8788